Diffraction record for BaTlFeCl5. The powder diffraction line list is computed, not measured: it uses a DFT-relaxed cell (GGA-PBE, Alexandria) and Cu Kα (weighted mean of Kα1 and Kα2).
Intensities are scaled so that the largest is 1000.

Structural model:
```
data_BaTlFeCl5
_cell_length_a 9.3486
_cell_length_b 12.5826
_cell_length_c 10.7100
_cell_angle_alpha 90.00
_cell_angle_beta 111.95
_cell_angle_gamma 90.00
_symmetry_space_group_name_H-M 'C 1 2/c 1'
_symmetry_Int_Tables_number 15
loop_
_symmetry_equiv_pos_as_xyz
'x,y,z'
'-x,-y,-z'
'-x,y,-z+1/2'
'x,-y,z+1/2'
'x+1/2,y+1/2,z'
'-x+1/2,-y+1/2,-z'
'-x+1/2,y+1/2,-z+1/2'
'x+1/2,-y+1/2,z+1/2'
loop_
_atom_site_label
_atom_site_type_symbol
_atom_site_fract_x
_atom_site_fract_y
_atom_site_fract_z
Ba1 Ba 0.0000 0.0000 0.0000
Tl1 Tl 0.0000 0.3508 0.2500
Fe1 Fe 0.0000 0.3177 0.7500
Cl1 Cl 0.0000 0.1089 0.2500
Cl2 Cl 0.1328 0.2093 0.6562
Cl3 Cl 0.1547 0.4281 0.9192
```

The 8 most intense peaks (5 to 70 degrees two-theta), sorted by position:
- 18.35°, intensity 1000
- 20.49°, intensity 759
- 22.81°, intensity 570
- 23.56°, intensity 695
- 25.93°, intensity 319
- 30.24°, intensity 356
- 35.93°, intensity 371
- 37.80°, intensity 353